Structure and theoretical powder X-ray diffraction pattern of AcTb2Sm4Ho (the GGA-PBE geometry in Alexandria; λ = 1.5418 Å (Cu Kα)).
Lines closer than 0.1° are merged.

The 10 most intense peaks (2θ = 5–70°), sorted by position:
(hkl), 2θ (°), I (rel.)
1 1 2, 30.0, 1000
0 0 4, 34.7, 168
0 2 0, 34.8, 170
2 0 0, 35.0, 169
0 2 4, 50.0, 121
2 2 0, 50.1, 242
1 1 6, 59.4, 141
1 3 2, 59.5, 146
3 1 2, 59.7, 145
2 2 4, 62.4, 124

```
data_AcTb2Sm4Ho
_cell_length_a 5.134
_cell_length_b 5.153
_cell_length_c 10.336
_cell_angle_alpha 90.00
_cell_angle_beta 90.00
_cell_angle_gamma 90.00
_symmetry_space_group_name_H-M 'P m m m'
_symmetry_Int_Tables_number 47
loop_
_symmetry_equiv_pos_as_xyz
'x,y,z'
'-x,-y,-z'
'-x,-y,z'
'x,y,-z'
'x,-y,-z'
'-x,y,z'
'-x,y,-z'
'x,-y,z'
loop_
_atom_site_label
_atom_site_type_symbol
_atom_site_fract_x
_atom_site_fract_y
_atom_site_fract_z
_atom_site_occupancy
Ac1 Ac 0.000 0.000 0.000 1
Tb1 Tb 0.000 0.000 0.500 1
Tb2 Tb 0.500 0.500 0.000 1
Sm1 Sm 0.000 0.500 0.258 1
Sm2 Sm 0.500 0.000 0.258 1
Ho1 Ho 0.500 0.500 0.500 1
```

=====

Structure and theoretical powder X-ray diffraction pattern of AcTbSmHo2 (the GGA-PBE geometry in Alexandria; λ = 1.5418 Å (Cu Kα)).
Lines closer than 0.1° are merged.

The 10 most intense peaks (2θ = 5–70°), sorted by position:
(hkl), 2θ (°), I (rel.)
1 3 1, 24.7, 209
2 2 0, 29.4, 1000
0 6 0, 30.7, 148
1 5 1, 32.2, 544
2 4 0, 34.5, 311
2 0 2, 39.4, 429
3 5 1, 51.8, 291
4 0 0, 56.9, 148
2 10 0, 60.1, 229
4 2 2, 65.4, 209

```
data_AcTbSmHo2
_cell_length_a 6.472
_cell_length_b 17.499
_cell_length_c 6.466
_cell_angle_alpha 90.00
_cell_angle_beta 90.00
_cell_angle_gamma 90.00
_symmetry_space_group_name_H-M 'C m c m'
_symmetry_Int_Tables_number 63
_symmetry_space_group_name_Hall '-C 2c 2'
loop_
_atom_site_label
_atom_site_type_symbol
_atom_site_fract_x
_atom_site_fract_y
_atom_site_fract_z
_atom_site_occupancy
Ac1 Ac 0.000 0.160 0.250 1
Tb1 Tb 0.000 0.251 0.750 1
Sm1 Sm 0.000 0.348 0.250 1
Ho1 Ho 0.248 0.500 0.000 1
```

=====

Structure and theoretical powder X-ray diffraction pattern of AcTb2SmHo4 (the GGA-PBE geometry in Alexandria; λ = 1.5418 Å (Cu Kα)).
Lines closer than 0.1° are merged.

The 10 most intense peaks (2θ = 5–70°), sorted by position:
(hkl), 2θ (°), I (rel.)
1 1 2, 30.4, 1000
0 2 0, 34.9, 173
2 0 0, 35.2, 170
0 0 4, 35.5, 163
2 2 0, 50.4, 124
0 2 4, 50.7, 120
1 3 2, 59.9, 148
3 1 2, 60.2, 146
1 1 6, 60.6, 138
2 2 4, 63.2, 124

```
data_AcTb2SmHo4
_cell_length_a 5.102
_cell_length_b 5.135
_cell_length_c 10.111
_cell_angle_alpha 90.00
_cell_angle_beta 90.00
_cell_angle_gamma 90.00
_symmetry_space_group_name_H-M 'P m m m'
_symmetry_Int_Tables_number 47
loop_
_symmetry_equiv_pos_as_xyz
'x,y,z'
'-x,-y,-z'
'-x,-y,z'
'x,y,-z'
'x,-y,-z'
'-x,y,z'
'-x,y,-z'
'x,-y,z'
loop_
_atom_site_label
_atom_site_type_symbol
_atom_site_fract_x
_atom_site_fract_y
_atom_site_fract_z
_atom_site_occupancy
Ac1 Ac 0.000 0.000 0.000 1
Tb1 Tb 0.000 0.000 0.500 1
Tb2 Tb 0.500 0.500 0.000 1
Sm1 Sm 0.500 0.500 0.500 1
Ho1 Ho 0.000 0.500 0.257 1
Ho2 Ho 0.500 0.000 0.258 1
```

=====

Structure and theoretical powder X-ray diffraction pattern of AcTb6SmHo2 (the GGA-PBE geometry in Alexandria; λ = 1.5418 Å (Cu Kα)).
Lines closer than 0.1° are merged.

The 10 most intense peaks (2θ = 5–70°), sorted by position:
(hkl), 2θ (°), I (rel.)
1 3 2, 28.0, 371
2 2 -2, 28.2, 216
3 1 -1, 30.3, 540
2 2 2, 30.5, 1000
1 5 0, 30.8, 372
2 4 -1, 31.3, 324
1 5 -1, 32.0, 277
1 3 -3, 33.9, 349
2 2 -3, 34.8, 165
3 3 2, 40.5, 123

```
data_AcTb6SmHo2
_cell_length_a 9.255
_cell_length_b 15.276
_cell_length_c 9.591
_cell_angle_alpha 90.00
_cell_angle_beta 95.30
_cell_angle_gamma 90.00
_symmetry_space_group_name_H-M 'C 1 2/c 1'
_symmetry_Int_Tables_number 15
loop_
_symmetry_equiv_pos_as_xyz
'x,y,z'
'-x,-y,-z'
'-x,y,-z+1/2'
'x,-y,z+1/2'
'x+1/2,y+1/2,z'
'-x+1/2,-y+1/2,-z'
'-x+1/2,y+1/2,-z+1/2'
'x+1/2,-y+1/2,z+1/2'
loop_
_atom_site_label
_atom_site_type_symbol
_atom_site_fract_x
_atom_site_fract_y
_atom_site_fract_z
_atom_site_occupancy
Ac1 Ac 0.000 0.031 0.250 1
Tb1 Tb 0.063 0.187 0.943 1
Tb2 Tb 0.100 0.389 0.117 1
Tb3 Tb 0.214 0.230 0.321 1
Sm1 Sm 0.000 0.411 0.750 1
Ho1 Ho 0.244 0.444 0.452 1
```

=====

Structure and theoretical powder X-ray diffraction pattern of AcTbSmHo (the GGA-PBE geometry in Alexandria; λ = 1.5418 Å (Cu Kα)).
Lines closer than 0.1° are merged.

The 10 most intense peaks (2θ = 5–70°), sorted by position:
(hkl), 2θ (°), I (rel.)
1 0 0, 25.3, 173
1 0 1, 28.3, 157
0 1 2, 29.8, 1000
0 2 0, 31.0, 349
1 1 1, 32.4, 286
1 0 2, 36.1, 158
1 1 2, 39.4, 220
1 2 2, 48.3, 140
0 3 2, 54.4, 190
2 1 2, 60.9, 263

```
data_AcTbSmHo
_cell_length_a 3.527
_cell_length_b 5.761
_cell_length_c 7.023
_cell_angle_alpha 90.00
_cell_angle_beta 90.00
_cell_angle_gamma 90.00
_symmetry_space_group_name_H-M 'P m m 2'
_symmetry_Int_Tables_number 25
loop_
_symmetry_equiv_pos_as_xyz
'x,y,z'
'-x,-y,z'
'-x,y,z'
'x,-y,z'
loop_
_atom_site_label
_atom_site_type_symbol
_atom_site_fract_x
_atom_site_fract_y
_atom_site_fract_z
_atom_site_occupancy
Ac1 Ac 0.000 0.000 0.000 1
Tb1 Tb 0.500 0.500 0.741 1
Sm1 Sm 0.000 0.500 0.282 1
Ho1 Ho 0.000 0.000 0.516 1
```

=====

Structure and theoretical powder X-ray diffraction pattern of AcSm4HoTm2 (the GGA-PBE geometry in Alexandria; λ = 1.5418 Å (Cu Kα)).
Lines closer than 0.1° are merged.

The 10 most intense peaks (2θ = 5–70°), sorted by position:
(hkl), 2θ (°), I (rel.)
2 0 0, 17.3, 7
1 1 -2, 24.5, 7
1 1 2, 30.2, 1000
2 0 -4, 34.9, 169
4 0 0, 35.0, 338
6 0 -4, 50.3, 242
4 2 0, 50.4, 122
5 1 -6, 59.7, 143
1 3 2, 59.9, 290
6 2 -4, 62.7, 124

```
data_AcSm4HoTm2
_cell_length_a 11.458
_cell_length_b 5.127
_cell_length_c 10.290
_cell_angle_alpha 90.00
_cell_angle_beta 116.67
_cell_angle_gamma 90.00
_symmetry_space_group_name_H-M 'C 1 2/m 1'
_symmetry_Int_Tables_number 12
loop_
_symmetry_equiv_pos_as_xyz
'x,y,z'
'-x,-y,-z'
'-x,y,-z'
'x,-y,z'
'x+1/2,y+1/2,z'
'-x+1/2,-y+1/2,-z'
'-x+1/2,y+1/2,-z'
'x+1/2,-y+1/2,z'
loop_
_atom_site_label
_atom_site_type_symbol
_atom_site_fract_x
_atom_site_fract_y
_atom_site_fract_z
_atom_site_occupancy
Ac1 Ac 0.000 0.000 0.000 1
Sm1 Sm 0.247 0.000 0.869 1
Sm2 Sm 0.248 0.500 0.621 1
Ho1 Ho 0.000 0.000 0.500 1
Tm1 Tm 0.001 0.500 0.743 1
```